Diffraction record for Th3CuTc2. The powder X-ray diffraction pattern is calculated, not measured: it uses a structure optimized by DFT (PBE) and Cu Kα.
No peak broadening, texture or thermal motion is included.

```
Th3CuTc2
1.0
11.4557 0.0000 0.0000
0.0000 4.4361 0.0000
0.0000 0.0000 10.7843
Th Cu Tc
12 4 8
Direct
0.0578 0.2500 0.1204
0.1155 0.7500 0.5684
0.2057 0.2500 0.8065
0.2943 0.7500 0.3065
0.3845 0.2500 0.0684
0.4422 0.7500 0.6204
0.5578 0.2500 0.3796
0.6155 0.7500 0.9316
0.7057 0.2500 0.6935
0.7943 0.7500 0.1935
0.8845 0.2500 0.4316
0.9422 0.7500 0.8796
0.1411 0.2500 0.3822
0.3589 0.7500 0.8822
0.6411 0.2500 0.1178
0.8589 0.7500 0.6178
0.0279 0.7500 0.2980
0.1735 0.7500 0.0270
0.3265 0.2500 0.5270
0.4721 0.2500 0.7980
0.5279 0.7500 0.2020
0.6735 0.7500 0.4730
0.8265 0.2500 0.9730
0.9721 0.2500 0.7020
```

Main lines, by angle (15° ≤ 2θ ≤ 90°):
Position (°2θ)	I_rel	index
28.65	40	3 0 2
30.40	37	2 1 2
32.04	100	0 1 3
34.17	35	1 0 4
35.19	70	3 1 2
40.68	51	0 2 0